Theoretical XRD peak list of TbHC3O6 for Cu Kα (λ = 1.5418 Å), from a PBE-relaxed structure.
Neutral-atom scattering factors, no anomalous dispersion.

Crystal structure
Cell: 7.174 10.620 6.622 Å, 90.00 90.00 90.00°
Space group Pnma (No. 62)
Unique sites:
Tb  0.197  0.250  0.133 [4 per cell]
H  0.229  0.750  0.117 [4 per cell]
C  0.094  0.521  0.952 [8 per cell]
C  0.119  0.250  0.629 [4 per cell]
O  0.027  0.250  0.462 [4 per cell]
O  0.047  0.250  0.802 [4 per cell]
O  0.089  0.624  0.852 [8 per cell]
O  0.234  0.047  0.979 [8 per cell]

Most intense lines, 15° ≤ 2θ ≤ 90°, sorted by position:
| 2θ (°) | intensity |
| --- | --- |
| 15.77 | 100 |
| 16.70 | 81 |
| 20.07 | 76 |
| 26.22 | 24 |
| 29.55 | 29 |
| 29.72 | 24 |
| 33.76 | 25 |
| 34.28 | 66 |
| 35.63 | 23 |
| 38.22 | 22 |
| 45.59 | 27 |
| 47.69 | 21 |